Theoretical powder XRD pattern
Compound: Cu15Te
Radiation: a wavelength of 1.5418 Å
Structure: DFT lattice parameters and positions (GGA-PBE)
No peak broadening, texture or thermal motion is included.

Main lines, most intense first (5 to 70 degrees two-theta):
2theta	d (Å)	I (rel.)	(hkl)
5.3	16.671	100.0	0 0 2
42.8	2.111	57.9	2 1 0
43.9	2.065	33.4	2 0 13
49.4	1.846	22.9	0 1 13
52.6	1.739	15.3	4 0 0
41.6	2.171	13.9	2 0 12

Atomic structure:
a = 6.959 Å, b = 2.659 Å, c = 33.342 Å
α = 90.00°, β = 90.01°, γ = 90.00°
Positions (direct):
Cu (0.122, 0.250, 0.251)
Cu (0.125, 0.250, 0.096)
Cu (0.125, 0.250, 0.790)
Cu (0.125, 0.250, 0.866)
Cu (0.125, 0.250, 0.942)
Cu (0.126, 0.250, 0.019)
Cu (0.127, 0.250, 0.173)
Cu (0.372, 0.750, 0.749)
Cu (0.375, 0.750, 0.057)
Cu (0.375, 0.750, 0.134)
Cu (0.375, 0.750, 0.212)
Cu (0.375, 0.750, 0.286)
Cu (0.375, 0.750, 0.904)
Cu (0.375, 0.750, 0.981)
Cu (0.377, 0.750, 0.827)
Cu (0.623, 0.250, 0.173)
Cu (0.625, 0.250, 0.019)
Cu (0.625, 0.250, 0.096)
Cu (0.625, 0.250, 0.714)
Cu (0.625, 0.250, 0.788)
Cu (0.625, 0.250, 0.866)
Cu (0.625, 0.250, 0.943)
Cu (0.628, 0.250, 0.251)
Cu (0.873, 0.750, 0.827)
Cu (0.874, 0.750, 0.981)
Cu (0.875, 0.750, 0.058)
Cu (0.875, 0.750, 0.134)
Cu (0.875, 0.750, 0.210)
Cu (0.875, 0.750, 0.904)
Cu (0.878, 0.750, 0.749)
Te (0.126, 0.250, 0.696)
Te (0.874, 0.750, 0.304)